Entry 1:
NaCdO2: calculated powder XRD pattern (CuKα), based on DFT lattice parameters and positions (PBE).
No peak broadening, texture or thermal motion is included.

```
data_NaCdO2
_chemical_formula_sum 'Na1 Cd1 O2'
_space_group_name_H-M_alt 'P 1'
_space_group_IT_number 1
_cell_length_a 5.847
_cell_length_b 5.847
_cell_length_c 5.847
_cell_angle_alpha 33.38
_cell_angle_beta 33.38
_cell_angle_gamma 33.38
loop_
_space_group_symop_operation_xyz
'x,y,z'
loop_
_atom_site_label
_atom_site_type_symbol
_atom_site_fract_x
_atom_site_fract_y
_atom_site_fract_z
Na1 Na 0.000 0.000 0.000
Cd1 Cd 0.500 0.500 0.500
O1 O 0.242 0.242 0.242
O2 O 0.758 0.758 0.758
```

Principal peaks in the range 2θ from 10° to 90°, sorted by position:
2theta  I/Imax
16.07  88
31.23  45
32.46  20
32.64  57
37.82  100
41.33  18
54.44  31
54.67  31
57.37  17
65.04  17


Entry 2:
Mg16Al12In: calculated powder XRD pattern (CuKα), based on DFT lattice parameters and positions (PBE).
No peak broadening, texture or thermal motion is included.

```
data_Mg16Al12In
_chemical_formula_sum 'Mg16 Al12 In1'
_space_group_name_H-M_alt 'P 1'
_space_group_IT_number 1
_cell_length_a 9.144
_cell_length_b 9.144
_cell_length_c 9.114
_cell_angle_alpha 109.33
_cell_angle_beta 109.33
_cell_angle_gamma 109.47
loop_
_space_group_symop_operation_xyz
'x,y,z'
loop_
_atom_site_label
_atom_site_type_symbol
_atom_site_fract_x
_atom_site_fract_y
_atom_site_fract_z
Mg1 Mg 0.000 0.000 0.000
Mg2 Mg 0.001 0.001 0.346
Mg3 Mg 0.003 0.600 0.317
Mg4 Mg 0.289 0.683 0.683
Mg5 Mg 0.315 0.998 0.600
Mg6 Mg 0.321 0.604 0.002
Mg7 Mg 0.347 0.998 0.994
Mg8 Mg 0.401 0.715 0.400
Mg9 Mg 0.600 0.003 0.317
Mg10 Mg 0.604 0.321 0.002
Mg11 Mg 0.660 0.660 0.664
Mg12 Mg 0.683 0.289 0.683
Mg13 Mg 0.688 0.688 0.288
Mg14 Mg 0.715 0.401 0.400
Mg15 Mg 0.998 0.315 0.600
Mg16 Mg 0.998 0.347 0.994
Al1 Al 0.001 0.815 0.633
Al2 Al 0.003 0.634 0.817
Al3 Al 0.179 0.366 0.358
Al4 Al 0.180 0.180 0.818
Al5 Al 0.189 0.821 0.187
Al6 Al 0.366 0.179 0.358
Al7 Al 0.368 0.368 0.179
Al8 Al 0.634 0.003 0.817
Al9 Al 0.640 0.823 0.007
Al10 Al 0.815 0.001 0.633
Al11 Al 0.821 0.189 0.187
Al12 Al 0.823 0.640 0.007
In1 In 0.392 0.392 0.707
```

Principal peaks in the range 2θ from 10° to 90°, sorted by position:
2theta  I/Imax
11.85  32
20.58  16
26.70  12
33.96  11
36.05  100
36.15  47
40.06  19
43.72  12
64.80  13
64.92  12


Entry 3:
NaScTl2F6: calculated powder XRD pattern (CuKα), based on DFT lattice parameters and positions (PBE).
No peak broadening, texture or thermal motion is included.

```
data_NaScTl2F6
_chemical_formula_sum 'Na1 Sc1 Tl2 F6'
_space_group_name_H-M_alt 'P 1'
_space_group_IT_number 1
_cell_length_a 6.188
_cell_length_b 6.188
_cell_length_c 6.188
_cell_angle_alpha 60.00
_cell_angle_beta 60.00
_cell_angle_gamma 60.00
loop_
_space_group_symop_operation_xyz
'x,y,z'
loop_
_atom_site_label
_atom_site_type_symbol
_atom_site_fract_x
_atom_site_fract_y
_atom_site_fract_z
Na1 Na 0.000 0.000 0.000
Sc1 Sc 0.500 0.500 0.500
Tl1 Tl 0.250 0.250 0.250
Tl2 Tl 0.750 0.750 0.750
F1 F 0.267 0.267 0.733
F2 F 0.267 0.733 0.267
F3 F 0.267 0.733 0.733
F4 F 0.733 0.267 0.267
F5 F 0.733 0.267 0.733
F6 F 0.733 0.733 0.267
```

Principal peaks in the range 2θ from 10° to 90°, sorted by position:
2theta  I/Imax
20.29  50
28.86  100
35.53  42
41.26  35
46.40  27
51.13  42
59.78  22
67.72  19
71.51  15
82.48  22


Entry 4:
SrTa2O6: calculated powder XRD pattern (CuKα), based on DFT lattice parameters and positions (PBE).
No peak broadening, texture or thermal motion is included.

```
data_SrTa2O6
_chemical_formula_sum 'Sr4 Ta8 O24'
_space_group_name_H-M_alt 'P 1'
_space_group_IT_number 1
_cell_length_a 11.174
_cell_length_b 7.711
_cell_length_c 5.676
_cell_angle_alpha 90.00
_cell_angle_beta 90.00
_cell_angle_gamma 90.00
loop_
_space_group_symop_operation_xyz
'x,y,z'
loop_
_atom_site_label
_atom_site_type_symbol
_atom_site_fract_x
_atom_site_fract_y
_atom_site_fract_z
Sr1 Sr 0.040 0.250 0.038
Sr2 Sr 0.460 0.750 0.538
Sr3 Sr 0.540 0.250 0.462
Sr4 Sr 0.960 0.750 0.962
Ta1 Ta 0.142 0.504 0.535
Ta2 Ta 0.142 0.996 0.535
Ta3 Ta 0.358 0.004 0.035
Ta4 Ta 0.358 0.496 0.035
Ta5 Ta 0.642 0.504 0.965
Ta6 Ta 0.642 0.996 0.965
Ta7 Ta 0.858 0.004 0.465
Ta8 Ta 0.858 0.496 0.465
O1 O 0.024 0.533 0.281
O2 O 0.024 0.967 0.281
O3 O 0.130 0.750 0.637
O4 O 0.145 0.250 0.470
O5 O 0.215 0.048 0.857
O6 O 0.215 0.452 0.857
O7 O 0.285 0.548 0.357
O8 O 0.285 0.952 0.357
O9 O 0.355 0.750 0.970
O10 O 0.370 0.250 0.137
O11 O 0.476 0.033 0.781
O12 O 0.476 0.467 0.781
O13 O 0.524 0.533 0.219
O14 O 0.524 0.967 0.219
O15 O 0.630 0.750 0.863
O16 O 0.645 0.250 0.030
O17 O 0.715 0.048 0.643
O18 O 0.715 0.452 0.643
O19 O 0.785 0.548 0.143
O20 O 0.785 0.952 0.143
O21 O 0.855 0.750 0.530
O22 O 0.870 0.250 0.363
O23 O 0.976 0.033 0.719
O24 O 0.976 0.467 0.719
```

Principal peaks in the range 2θ from 10° to 90°, sorted by position:
2theta  I/Imax
17.52  50
23.07  47
28.67  92
29.12  100
31.52  35
37.11  29
39.86  28
47.14  22
51.67  32
56.11  29


Entry 5:
HoAsO4: calculated powder XRD pattern (CuKα), based on DFT lattice parameters and positions (PBE).
No peak broadening, texture or thermal motion is included.

```
data_HoAsO4
_chemical_formula_sum 'Ho4 As4 O16'
_space_group_name_H-M_alt 'P 1'
_space_group_IT_number 1
_cell_length_a 6.647
_cell_length_b 6.975
_cell_length_c 8.111
_cell_angle_alpha 90.00
_cell_angle_beta 126.28
_cell_angle_gamma 90.00
loop_
_space_group_symop_operation_xyz
'x,y,z'
loop_
_atom_site_label
_atom_site_type_symbol
_atom_site_fract_x
_atom_site_fract_y
_atom_site_fract_z
Ho1 Ho 0.193 0.146 0.282
Ho2 Ho 0.193 0.354 0.782
Ho3 Ho 0.807 0.646 0.218
Ho4 Ho 0.807 0.854 0.718
As1 As 0.311 0.661 0.199
As2 As 0.311 0.839 0.699
As3 As 0.689 0.161 0.301
As4 As 0.689 0.339 0.801
O1 O 0.105 0.650 0.602
O2 O 0.105 0.850 0.102
O3 O 0.163 0.008 0.747
O4 O 0.163 0.492 0.247
O5 O 0.357 0.605 0.016
O6 O 0.357 0.895 0.516
O7 O 0.382 0.214 0.112
O8 O 0.382 0.286 0.612
O9 O 0.618 0.714 0.388
O10 O 0.618 0.786 0.888
O11 O 0.643 0.105 0.484
O12 O 0.643 0.395 0.984
O13 O 0.837 0.508 0.753
O14 O 0.837 0.992 0.253
O15 O 0.895 0.150 0.898
O16 O 0.895 0.350 0.398
```

Principal peaks in the range 2θ from 10° to 90°, sorted by position:
2theta  I/Imax
18.82  18
27.28  53
29.02  100
30.41  23
30.76  58
33.45  26
46.66  29
48.16  23
51.06  25
52.76  21


Entry 6:
BaTeO3: calculated powder XRD pattern (CuKα), based on DFT lattice parameters and positions (PBE).
No peak broadening, texture or thermal motion is included.

```
data_BaTeO3
_chemical_formula_sum 'Ba2 Te2 O6'
_space_group_name_H-M_alt 'P 1'
_space_group_IT_number 1
_cell_length_a 4.655
_cell_length_b 6.075
_cell_length_c 7.257
_cell_angle_alpha 90.00
_cell_angle_beta 106.89
_cell_angle_gamma 90.00
loop_
_space_group_symop_operation_xyz
'x,y,z'
loop_
_atom_site_label
_atom_site_type_symbol
_atom_site_fract_x
_atom_site_fract_y
_atom_site_fract_z
Ba1 Ba 0.160 0.250 0.314
Ba2 Ba 0.840 0.750 0.686
Te1 Te 0.431 0.250 0.852
Te2 Te 0.569 0.750 0.148
O1 O 0.147 0.750 0.102
O2 O 0.326 0.014 0.674
O3 O 0.326 0.486 0.674
O4 O 0.674 0.514 0.326
O5 O 0.674 0.986 0.326
O6 O 0.853 0.250 0.898
```

Principal peaks in the range 2θ from 10° to 90°, sorted by position:
2theta  I/Imax
24.79  70
25.10  90
25.66  28
29.41  56
29.64  100
30.58  28
31.36  34
38.71  40
40.16  31
49.37  44